Structure and calculated powder diffraction line list of Ce3Al6Pt4 (a crystal structure in the Materials Project, relaxed with GGA-PBE; CuKα).
No peak broadening, texture or thermal motion is included.

Largest 8 diffraction maxima, in order of rising 2θ, 2θ from 10° to 90°:
2theta  d/Å  I/Imax
25.56  3.484  47
26.40  3.376  49
29.85  2.993  58
31.90  2.806  55
32.26  2.775  100
33.06  2.710  98
35.08  2.558  37
42.02  2.150  70

Cell and atoms:
```
Ce3Al6Pt4
1.0
13.938 0.000 0.000
0.000 4.300 0.000
0.000 0.000 17.477
Ce Al Pt
12 24 16
Direct
0.074 0.250 0.152 Ce
0.132 0.750 0.694 Ce
0.197 0.750 0.470 Ce
0.303 0.250 0.970 Ce
0.368 0.250 0.194 Ce
0.426 0.750 0.652 Ce
0.574 0.250 0.348 Ce
0.632 0.750 0.806 Ce
0.697 0.750 0.030 Ce
0.803 0.250 0.530 Ce
0.868 0.250 0.306 Ce
0.926 0.750 0.848 Ce
0.027 0.250 0.433 Al
0.040 0.750 0.308 Al
0.055 0.250 0.955 Al
0.173 0.750 0.869 Al
0.229 0.750 0.271 Al
0.248 0.750 0.106 Al
0.252 0.250 0.606 Al
0.271 0.250 0.771 Al
0.327 0.250 0.369 Al
0.445 0.750 0.455 Al
0.460 0.250 0.808 Al
0.473 0.750 0.933 Al
0.527 0.250 0.067 Al
0.540 0.750 0.192 Al
0.555 0.250 0.545 Al
0.673 0.750 0.631 Al
0.729 0.750 0.229 Al
0.748 0.750 0.394 Al
0.752 0.250 0.894 Al
0.771 0.250 0.729 Al
0.827 0.250 0.131 Al
0.945 0.750 0.045 Al
0.960 0.250 0.692 Al
0.973 0.750 0.567 Al
0.074 0.250 0.573 Pt
0.087 0.250 0.810 Pt
0.124 0.750 0.008 Pt
0.148 0.250 0.322 Pt
0.352 0.750 0.822 Pt
0.376 0.250 0.508 Pt
0.413 0.750 0.310 Pt
0.426 0.750 0.073 Pt
0.574 0.250 0.927 Pt
0.587 0.250 0.690 Pt
0.624 0.750 0.492 Pt
0.648 0.250 0.178 Pt
0.852 0.750 0.678 Pt
0.876 0.250 0.992 Pt
0.913 0.750 0.190 Pt
0.926 0.750 0.427 Pt
```

Structure and calculated powder diffraction line list of CeAlPt (a crystal structure in the Materials Project, relaxed with GGA-PBE; CuKα).
No peak broadening, texture or thermal motion is included.

Largest 8 diffraction maxima, in order of rising 2θ, 2θ from 10° to 90°:
2theta  d/Å  I/Imax
25.72  3.463  42
26.36  3.381  64
32.95  2.719  41
33.81  2.651  17
34.31  2.614  100
39.84  2.263  36
41.14  2.194  34
44.41  2.040  20

Cell and atoms:
```
CeAlPt
1.0
7.138 0.000 0.000
0.000 4.389 0.000
0.000 0.000 7.921
Ce Al Pt
4 4 4
Direct
0.025 0.250 0.186 Ce
0.475 0.750 0.686 Ce
0.525 0.250 0.314 Ce
0.975 0.750 0.814 Ce
0.149 0.250 0.568 Al
0.351 0.750 0.068 Al
0.649 0.250 0.932 Al
0.851 0.750 0.432 Al
0.223 0.750 0.393 Pt
0.277 0.250 0.893 Pt
0.723 0.750 0.107 Pt
0.777 0.250 0.607 Pt
```

Structure and calculated powder diffraction line list of Ce2Al16Pt9 (a crystal structure in the Materials Project, relaxed with GGA-PBE; CuKα).
No peak broadening, texture or thermal motion is included.

Largest 8 diffraction maxima, in order of rising 2θ, 2θ from 10° to 90°:
2theta  d/Å  I/Imax
25.44  3.501  21
26.42  3.373  100
26.71  3.337  43
29.86  2.992  76
35.86  2.504  25
43.15  2.097  61
43.51  2.080  41
48.10  1.892  33

Cell and atoms:
```
Ce2Al16Pt9
1.0
-2.096 5.979 9.155
2.096 -5.979 9.155
2.096 5.979 -9.155
Ce Al Pt
2 16 9
Direct
0.228 0.228 0.000 Ce
0.772 0.772 0.000 Ce
0.087 0.587 0.500 Al
0.091 0.920 0.171 Al
0.105 0.797 0.308 Al
0.251 0.080 0.171 Al
0.274 0.392 0.882 Al
0.386 0.000 0.386 Al
0.488 0.797 0.692 Al
0.490 0.608 0.882 Al
0.510 0.392 0.118 Al
0.512 0.203 0.308 Al
0.614 0.000 0.614 Al
0.726 0.608 0.118 Al
0.749 0.920 0.829 Al
0.895 0.203 0.692 Al
0.909 0.080 0.829 Al
0.913 0.413 0.500 Al
0.000 0.000 0.000 Pt
0.024 0.339 0.685 Pt
0.249 0.500 0.749 Pt
0.345 0.661 0.685 Pt
0.375 0.875 0.500 Pt
0.625 0.125 0.500 Pt
0.655 0.339 0.315 Pt
0.751 0.500 0.251 Pt
0.976 0.661 0.315 Pt
```

Structure and calculated powder diffraction line list of CeAl4Si2Rh (a crystal structure in the Materials Project, relaxed with GGA-PBE; CuKα).
No peak broadening, texture or thermal motion is included.

Largest 8 diffraction maxima, in order of rising 2θ, 2θ from 10° to 90°:
2theta  d/Å  I/Imax
20.92  4.245  68
29.76  3.002  31
30.91  2.893  100
37.62  2.391  74
42.59  2.123  51
50.96  1.792  32
53.54  1.711  42
68.53  1.369  26

Cell and atoms:
```
CeAl4Si2Rh
1.0
4.245 0.000 0.000
0.000 4.245 0.000
0.000 0.000 7.907
Ce Al Si Rh
1 4 2 1
Direct
0.000 0.000 0.000 Ce
0.000 0.500 0.329 Al
0.000 0.500 0.671 Al
0.500 0.000 0.329 Al
0.500 0.000 0.671 Al
0.500 0.500 0.144 Si
0.500 0.500 0.856 Si
0.000 0.000 0.500 Rh
```

Structure and calculated powder diffraction line list of Ce3Al12Ru4 (a crystal structure in the Materials Project, relaxed with GGA-PBE; CuKα).
No peak broadening, texture or thermal motion is included.

Largest 8 diffraction maxima, in order of rising 2θ, 2θ from 10° to 90°:
2theta  d/Å  I/Imax
14.77  5.996  30
24.93  3.572  48
29.80  2.998  100
36.18  2.483  61
36.62  2.454  62
37.67  2.388  35
40.57  2.224  86
56.56  1.627  37

Cell and atoms:
```
Ce3Al12Ru4
1.0
8.894 0.000 0.000
-4.447 7.703 0.000
0.000 0.000 9.550
Ce Al Ru
6 24 8
Direct
0.194 0.388 0.250 Ce
0.194 0.806 0.250 Ce
0.388 0.194 0.750 Ce
0.612 0.806 0.250 Ce
0.806 0.194 0.750 Ce
0.806 0.612 0.750 Ce
0.000 0.000 0.250 Al
0.000 0.000 0.750 Al
0.124 0.562 0.750 Al
0.162 0.325 0.577 Al
0.162 0.325 0.923 Al
0.162 0.838 0.577 Al
0.162 0.838 0.923 Al
0.325 0.162 0.077 Al
0.325 0.162 0.423 Al
0.333 0.667 0.016 Al
0.333 0.667 0.484 Al
0.438 0.562 0.750 Al
0.438 0.876 0.750 Al
0.562 0.124 0.250 Al
0.562 0.438 0.250 Al
0.667 0.333 0.516 Al
0.667 0.333 0.984 Al
0.675 0.838 0.577 Al
0.675 0.838 0.923 Al
0.838 0.162 0.077 Al
0.838 0.162 0.423 Al
0.838 0.675 0.077 Al
0.838 0.675 0.423 Al
0.876 0.438 0.250 Al
0.000 0.000 0.000 Ru
0.000 0.000 0.500 Ru
0.000 0.500 0.000 Ru
0.000 0.500 0.500 Ru
0.500 0.000 0.000 Ru
0.500 0.000 0.500 Ru
0.500 0.500 0.000 Ru
0.500 0.500 0.500 Ru
```

Structure and calculated powder diffraction line list of Ce2AlRu (a crystal structure in the Materials Project, relaxed with GGA-PBE; CuKα).
No peak broadening, texture or thermal motion is included.

Largest 8 diffraction maxima, in order of rising 2θ, 2θ from 10° to 90°:
2theta  d/Å  I/Imax
22.51  3.950  10
22.64  3.927  39
32.14  2.785  33
35.97  2.497  100
36.15  2.485  42
39.75  2.268  34
49.21  1.852  13
59.69  1.549  11

Cell and atoms:
```
Ce2AlRu
1.0
7.853 0.000 0.000
-3.927 6.801 0.000
0.000 0.000 9.706
Ce Al Ru
12 6 6
Direct
0.000 0.262 0.000 Ce
0.000 0.414 0.326 Ce
0.000 0.586 0.826 Ce
0.000 0.738 0.500 Ce
0.262 0.000 0.000 Ce
0.262 0.262 0.500 Ce
0.414 0.000 0.326 Ce
0.414 0.414 0.826 Ce
0.586 0.000 0.826 Ce
0.586 0.586 0.326 Ce
0.738 0.000 0.500 Ce
0.738 0.738 0.000 Ce
0.000 0.000 0.248 Al
0.000 0.000 0.748 Al
0.333 0.667 0.091 Al
0.333 0.667 0.591 Al
0.667 0.333 0.091 Al
0.667 0.333 0.591 Al
0.000 0.342 0.664 Ru
0.000 0.658 0.164 Ru
0.342 0.000 0.664 Ru
0.342 0.342 0.164 Ru
0.658 0.000 0.164 Ru
0.658 0.658 0.664 Ru
```

Structure and calculated powder diffraction line list of Ce3AlVS7 (a crystal structure in the Materials Project, relaxed with GGA-PBE; CuKα).
No peak broadening, texture or thermal motion is included.

Largest 8 diffraction maxima, in order of rising 2θ, 2θ from 10° to 90°:
2theta  d/Å  I/Imax
17.98  4.934  43
23.13  3.845  34
25.34  3.515  100
27.20  3.279  38
34.43  2.605  40
36.42  2.467  41
40.39  2.233  45
40.77  2.213  36

Cell and atoms:
```
Ce3AlVS7
1.0
10.018 0.000 0.000
-5.009 8.676 0.000
0.000 0.000 5.999
Ce Al V S
6 2 2 14
Direct
0.140 0.373 0.000 Ce
0.233 0.860 0.000 Ce
0.373 0.233 0.500 Ce
0.627 0.767 0.000 Ce
0.767 0.140 0.500 Ce
0.860 0.627 0.500 Ce
0.333 0.667 0.424 Al
0.667 0.333 0.924 Al
0.000 0.000 0.303 V
0.000 0.000 0.803 V
0.086 0.226 0.555 S
0.098 0.582 0.278 S
0.140 0.914 0.555 S
0.226 0.140 0.055 S
0.333 0.667 0.793 S
0.418 0.516 0.278 S
0.484 0.902 0.278 S
0.516 0.098 0.778 S
0.582 0.484 0.778 S
0.667 0.333 0.293 S
0.774 0.860 0.555 S
0.860 0.086 0.055 S
0.902 0.418 0.778 S
0.914 0.774 0.055 S
```

Structure and calculated powder diffraction line list of CeScAl4 (a crystal structure in the Materials Project, relaxed with GGA-PBE; CuKα).
No peak broadening, texture or thermal motion is included.

Largest 8 diffraction maxima, in order of rising 2θ, 2θ from 10° to 90°:
2theta  d/Å  I/Imax
19.71  4.505  47
22.79  3.901  22
32.45  2.759  70
38.26  2.353  100
40.03  2.252  16
57.90  1.593  26
61.78  1.502  32
67.96  1.379  20

Cell and atoms:
```
CeScAl4
1.0
0.000 3.901 3.901
3.901 0.000 3.901
3.901 3.901 0.000
Ce Sc Al
1 1 4
Direct
0.000 0.000 0.000 Ce
0.250 0.250 0.250 Sc
0.124 0.625 0.625 Al
0.625 0.124 0.625 Al
0.625 0.625 0.124 Al
0.625 0.625 0.625 Al
```

Structure and calculated powder diffraction line list of CeAlSi2 (a crystal structure in the Materials Project, relaxed with GGA-PBE; CuKα).
No peak broadening, texture or thermal motion is included.

Largest 8 diffraction maxima, in order of rising 2θ, 2θ from 10° to 90°:
2theta  d/Å  I/Imax
24.81  3.589  41
26.14  3.410  35
29.79  2.999  62
35.12  2.555  100
43.68  2.072  49
57.24  1.609  24
61.72  1.503  19
74.67  1.271  22

Cell and atoms:
```
CeAlSi2
1.0
4.144 0.000 0.000
-2.072 3.589 0.000
0.000 0.000 10.914
Ce Al Si
2 2 4
Direct
0.000 0.000 0.179 Ce
0.000 0.000 0.821 Ce
0.333 0.667 0.414 Al
0.667 0.333 0.586 Al
0.333 0.667 0.003 Si
0.333 0.667 0.649 Si
0.667 0.333 0.351 Si
0.667 0.333 0.997 Si
```

Structure and calculated powder diffraction line list of CeTh3Al2 (a crystal structure in the Materials Project, relaxed with GGA-PBE; CuKα).
No peak broadening, texture or thermal motion is included.

Largest 8 diffraction maxima, in order of rising 2θ, 2θ from 10° to 90°:
2theta  d/Å  I/Imax
16.16  5.485  13
30.44  2.937  100
32.56  2.750  16
36.55  2.459  18
36.64  2.453  10
49.73  1.834  10
56.78  1.621  18
58.16  1.586  9

Cell and atoms:
```
CeTh3Al2
1.0
0.000 5.503 5.481
2.750 0.000 5.481
2.750 5.503 0.000
Ce Th Al
1 3 2
Direct
0.000 0.000 0.000 Ce
0.188 0.500 0.500 Th
0.500 0.188 0.812 Th
0.691 0.691 0.309 Th
0.093 0.093 0.407 Al
0.593 0.593 0.907 Al
```